The following is a calculated powder X-ray diffraction pattern of Li7V5O12. It was derived from a GGA+U-relaxed structure, using Cu Kα (λ = 1.5418 Å).
Peak positions follow from Bragg's law for the DFT cell and can differ from measured ones.

Cell and atoms:
```
Li7V5O12
1.0
2.515 -4.358 0.000
2.515 4.358 0.000
-1.664 0.000 9.783
Li V O
7 5 12
Cartesian
0.000 0.000 0.000
0.786 1.402 2.334
-0.007 0.000 7.447
0.786 -1.402 2.334
2.580 1.402 7.449
3.373 0.000 2.337
2.580 -1.402 7.449
1.683 2.911 4.892
2.515 1.436 0.000
1.683 0.000 4.892
2.515 -1.436 0.000
1.683 -2.911 4.892
1.635 2.861 1.121
0.013 0.000 3.734
0.843 1.466 5.994
1.731 2.861 8.662
1.767 0.000 1.109
2.522 1.466 3.789
0.843 -1.466 5.994
1.599 0.000 8.674
1.635 -2.861 1.121
2.522 -1.466 3.789
3.353 0.000 6.049
1.731 -2.861 8.662
```

Most intense lines, 2θ = 10–90°, low angle first:
two_theta	d/Å	intensity
18.1	4.892	100
20.6	4.310	6
21.3	4.175	5
36.2	2.479	35
37.8	2.380	6
43.6	2.075	96
47.6	1.910	11
57.2	1.611	14
62.7	1.482	26
64.1	1.452	25
67.2	1.392	12
80.8	1.190	11